# 1
Structure and simulated powder diffraction line list of Cd2BHPt6 (a PBE-relaxed structure; copper Kα).

Peak list (6 most intense, 10° ≤ 2θ ≤ 90°, sorted by position)
d = 2.406 Å, 37.37 deg, I = 100
d = 2.084 Å, 43.42 deg, I = 51
d = 1.473 Å, 63.12 deg, I = 28
d = 1.258 Å, 75.58 deg, I = 13
d = 1.256 Å, 75.73 deg, I = 26
d = 1.204 Å, 79.60 deg, I = 6

Crystal structure
Cell: 5.8919 5.8919 5.8878 Å, 119.95 119.95 89.95°
Atoms (fractional coordinates):
Cd  0.2491  0.7509  0.0000
Cd  0.7509  0.2491  0.0000
B  0.9987  0.9987  0.4973
H  0.4929  0.4929  0.4855
Pt  0.2536  0.2536  0.0062
Pt  0.2539  0.7463  0.5002
Pt  0.2548  0.2548  0.5020
Pt  0.7455  0.7455  0.4983
Pt  0.7452  0.7452  0.9914
Pt  0.7463  0.2539  0.5002

# 2
Structure and simulated powder diffraction line list of NdAl2Rh (a PBE-relaxed structure; copper Kα).

Peak list (6 most intense, 10° ≤ 2θ ≤ 90°, sorted by position)
d = 3.837 Å, 23.18 deg, I = 18
d = 3.544 Å, 25.13 deg, I = 56
d = 2.606 Å, 34.42 deg, I = 48
d = 2.553 Å, 35.15 deg, I = 100
d = 2.539 Å, 35.35 deg, I = 23
d = 1.789 Å, 51.07 deg, I = 25

Crystal structure
Cell: 15.3492 7.0886 5.8592 Å, 90.00 90.00 90.00°
Atoms (fractional coordinates):
Nd  0.1005  0.2500  0.2472
Nd  0.1366  0.7500  0.0344
Nd  0.3634  0.2500  0.5344
Nd  0.3995  0.7500  0.7472
Nd  0.6005  0.2500  0.2528
Nd  0.6366  0.7500  0.4656
Nd  0.8634  0.2500  0.9656
Nd  0.8995  0.7500  0.7528
Al  0.0461  0.0612  0.7264
Al  0.0461  0.4388  0.7264
Al  0.2097  0.5533  0.5562
Al  0.2097  0.9467  0.5562
Al  0.2903  0.0533  0.0562
Al  0.2903  0.4467  0.0562
Al  0.4539  0.5612  0.2264
Al  0.4539  0.9388  0.2264
Al  0.5461  0.0612  0.7736
Al  0.5461  0.4388  0.7736
Al  0.7097  0.5533  0.9438
Al  0.7097  0.9467  0.9438
Al  0.7903  0.0533  0.4438
Al  0.7903  0.4467  0.4438
Al  0.9539  0.5612  0.2736
Al  0.9539  0.9388  0.2736
Rh  0.0707  0.7500  0.5048
Rh  0.1906  0.2500  0.7907
Rh  0.3094  0.7500  0.2907
Rh  0.4293  0.2500  0.0048
Rh  0.5707  0.7500  0.9952
Rh  0.6906  0.2500  0.7093
Rh  0.8094  0.7500  0.2093
Rh  0.9293  0.2500  0.4952

# 3
Structure and simulated powder diffraction line list of V4GaSi2 (a PBE-relaxed structure; copper Kα).

Peak list (6 most intense, 10° ≤ 2θ ≤ 90°, sorted by position)
d = 2.981 Å, 29.98 deg, I = 27
d = 2.315 Å, 38.90 deg, I = 67
d = 2.308 Å, 39.03 deg, I = 100
d = 1.953 Å, 46.51 deg, I = 84
d = 1.951 Å, 46.56 deg, I = 48
d = 1.184 Å, 81.24 deg, I = 24

Crystal structure
Cell: 6.3267 6.3267 6.3267 Å, 109.57 109.57 109.28°
Atoms (fractional coordinates):
V  0.1393  0.7216  0.7475
V  0.1418  0.2241  0.7525
V  0.2784  0.0259  0.4177
V  0.4716  0.3893  0.2475
V  0.6082  0.8607  0.5823
V  0.6107  0.8582  0.0823
V  0.7759  0.5284  0.9177
V  0.9741  0.3918  0.2525
Ga  0.0000  0.0000  0.0000
Ga  0.7500  0.2500  0.5000
Si  0.2416  0.6250  0.1166
Si  0.3750  0.4916  0.6166
Si  0.5084  0.1250  0.8834
Si  0.8750  0.7584  0.3834

# 4
Structure and simulated powder diffraction line list of Li4Ag3Pt2 (a PBE-relaxed structure; copper Kα).

Peak list (6 most intense, 10° ≤ 2θ ≤ 90°, sorted by position)
d = 3.414 Å, 26.10 deg, I = 92
d = 2.763 Å, 32.40 deg, I = 80
d = 2.202 Å, 40.99 deg, I = 100
d = 2.171 Å, 41.60 deg, I = 90
d = 1.546 Å, 59.83 deg, I = 32
d = 1.259 Å, 75.50 deg, I = 32

Crystal structure
Cell: 4.3415 4.3415 8.1476 Å, 90.05 90.05 60.03°
Atoms (fractional coordinates):
Li  0.0001  0.0001  0.1759
Li  0.9999  0.9999  0.8241
Li  0.3335  0.3335  0.3972
Li  0.6665  0.6665  0.6028
Ag  0.0000  0.0000  0.5000
Ag  0.3334  0.3334  0.0766
Ag  0.6666  0.6666  0.9234
Pt  0.3332  0.3332  0.7206
Pt  0.6668  0.6668  0.2794

# 5
Structure and simulated powder diffraction line list of ThZn10Ag (a PBE-relaxed structure; copper Kα).

Peak list (6 most intense, 10° ≤ 2θ ≤ 90°, sorted by position)
d = 3.119 Å, 28.62 deg, I = 58
d = 2.659 Å, 33.71 deg, I = 28
d = 2.266 Å, 39.78 deg, I = 100
d = 2.247 Å, 40.14 deg, I = 33
d = 2.206 Å, 40.91 deg, I = 51
d = 2.166 Å, 41.69 deg, I = 46

Crystal structure
Cell: 4.3329 5.1268 9.3292 Å, 90.00 90.00 90.00°
Atoms (fractional coordinates):
Th  0.0000  0.0000  0.0000
Zn  0.0000  0.0000  0.3495
Zn  0.0000  0.0000  0.6505
Zn  0.0000  0.5000  0.2042
Zn  0.0000  0.5000  0.7958
Zn  0.5000  0.0000  0.5000
Zn  0.5000  0.2414  0.2393
Zn  0.5000  0.2414  0.7607
Zn  0.5000  0.5000  0.0000
Zn  0.5000  0.7586  0.2393
Zn  0.5000  0.7586  0.7607
Ag  0.0000  0.5000  0.5000

# 6
Structure and simulated powder diffraction line list of La4NdRh (a PBE-relaxed structure; copper Kα).

Peak list (6 most intense, 10° ≤ 2θ ≤ 90°, sorted by position)
d = 3.181 Å, 28.05 deg, I = 47
d = 3.073 Å, 29.06 deg, I = 35
d = 3.004 Å, 29.74 deg, I = 98
d = 2.989 Å, 29.89 deg, I = 100
d = 2.899 Å, 30.85 deg, I = 69
d = 1.944 Å, 46.72 deg, I = 45

Crystal structure
Cell: 9.4150 9.4150 7.2643 Å, 106.27 106.27 42.17°
Atoms (fractional coordinates):
La  0.0013  0.1911  0.0189
La  0.1911  0.0013  0.5189
La  0.2154  0.4126  0.3745
La  0.4126  0.2154  0.8745
La  0.5874  0.7846  0.1255
La  0.7846  0.5874  0.6255
La  0.8089  0.9987  0.4811
La  0.9987  0.8089  0.9811
Nd  0.4483  0.5517  0.7500
Nd  0.5517  0.4483  0.2500
Rh  0.0000  0.5000  0.0000
Rh  0.5000  0.0000  0.5000

Number 3 is which compound?
V4GaSi2

Copy entry 5 word for word.
Structure and simulated powder diffraction line list of ThZn10Ag (a PBE-relaxed structure; copper Kα).

Peak list (6 most intense, 10° ≤ 2θ ≤ 90°, sorted by position)
d = 3.119 Å, 28.62 deg, I = 58
d = 2.659 Å, 33.71 deg, I = 28
d = 2.266 Å, 39.78 deg, I = 100
d = 2.247 Å, 40.14 deg, I = 33
d = 2.206 Å, 40.91 deg, I = 51
d = 2.166 Å, 41.69 deg, I = 46

Crystal structure
Cell: 4.3329 5.1268 9.3292 Å, 90.00 90.00 90.00°
Atoms (fractional coordinates):
Th  0.0000  0.0000  0.0000
Zn  0.0000  0.0000  0.3495
Zn  0.0000  0.0000  0.6505
Zn  0.0000  0.5000  0.2042
Zn  0.0000  0.5000  0.7958
Zn  0.5000  0.0000  0.5000
Zn  0.5000  0.2414  0.2393
Zn  0.5000  0.2414  0.7607
Zn  0.5000  0.5000  0.0000
Zn  0.5000  0.7586  0.2393
Zn  0.5000  0.7586  0.7607
Ag  0.0000  0.5000  0.5000